Record 1
For PmTiZnPt2, DFT lattice parameters and positions (PBE) gives the calculated powder diffraction line list in this record (λ = 1.5418 Å (Cu Kα)).
Lines closer than 0.1° are merged.

Structure:
a b c (Å): 6.684 6.684 6.684
angles (deg): 145.02 145.02 50.30
Fractional positions:
Pm 0.000 0.000 0.000
Ti 0.250 0.750 0.500
Zn 0.750 0.250 0.500
Pt 0.388 0.388 0.000
Pt 0.612 0.612 0.000

Principal peaks in the range 2θ = 10–80°, by intensity:
2θ (°)	I/Imax
31.46	100
43.68	74
34.89	40
45.14	38
64.61	32
56.04	23
23.33	22
65.75	12
74.71	12
79.29	11

=====

Record 2
For Pm12Tl6Pt, DFT lattice parameters and positions (PBE) gives the calculated powder diffraction line list in this record (λ = 1.5418 Å (Cu Kα)).
Lines closer than 0.1° are merged.

Structure:
a b c (Å): 8.529 8.529 8.529
angles (deg): 93.54 93.54 93.54
Fractional positions:
Pm 0.047 0.931 0.701
Pm 0.069 0.299 0.953
Pm 0.179 0.403 0.527
Pm 0.299 0.953 0.069
Pm 0.403 0.527 0.179
Pm 0.473 0.821 0.597
Pm 0.527 0.179 0.403
Pm 0.597 0.473 0.821
Pm 0.701 0.047 0.931
Pm 0.821 0.597 0.473
Pm 0.931 0.701 0.047
Pm 0.953 0.069 0.299
Tl 0.159 0.769 0.364
Tl 0.231 0.636 0.841
Tl 0.364 0.159 0.769
Tl 0.636 0.841 0.231
Tl 0.769 0.364 0.159
Tl 0.841 0.231 0.636
Pt 0.500 0.500 0.500

Principal peaks in the range 2θ = 10–80°, by intensity:
2θ (°)	I/Imax
30.64	100
34.82	66
32.67	46
27.09	31
34.03	24
39.39	20
15.23	19
45.11	18
55.82	16
24.04	14

=====

Record 3
For Pm3TlPt8, DFT lattice parameters and positions (PBE) gives the calculated powder diffraction line list in this record (λ = 1.5418 Å (Cu Kα)).
Lines closer than 0.1° are merged.

Structure:
a b c (Å): 9.505 9.505 9.505
angles (deg): 33.58 33.58 33.58
Fractional positions:
Pm 0.000 0.000 0.000
Pm 0.128 0.128 0.128
Pm 0.512 0.512 0.512
Tl 0.636 0.636 0.636
Pt 0.068 0.068 0.563
Pt 0.068 0.563 0.068
Pt 0.072 0.568 0.568
Pt 0.318 0.318 0.318
Pt 0.563 0.068 0.068
Pt 0.568 0.072 0.568
Pt 0.568 0.568 0.072
Pt 0.818 0.818 0.818

Principal peaks in the range 2θ = 10–80°, by intensity:
2θ (°)	I/Imax
38.46	100
40.24	47
62.12	32
68.35	29
32.62	21
19.81	12
46.80	8
58.21	8
51.29	3
77.80	3

=====

Record 4
For Pm5TlPt2, DFT lattice parameters and positions (PBE) gives the calculated powder diffraction line list in this record (λ = 1.5418 Å (Cu Kα)).
Lines closer than 0.1° are merged.

Structure:
a b c (Å): 8.953 8.953 8.953
angles (deg): 126.56 126.56 78.97
Fractional positions:
Pm 0.000 0.000 0.000
Pm 0.022 0.522 0.819
Pm 0.203 0.022 0.500
Pm 0.297 0.797 0.819
Pm 0.478 0.297 0.500
Pm 0.500 0.500 0.000
Pm 0.522 0.703 0.500
Pm 0.703 0.203 0.181
Pm 0.797 0.978 0.500
Pm 0.978 0.478 0.181
Tl 0.250 0.250 0.000
Tl 0.750 0.750 0.000
Pt 0.135 0.365 0.500
Pt 0.365 0.865 0.230
Pt 0.635 0.135 0.770
Pt 0.865 0.635 0.500

Principal peaks in the range 2θ = 10–80°, by intensity:
2θ (°)	I/Imax
31.54	100
35.25	63
41.16	26
34.20	26
65.64	23
65.27	18
50.75	18
30.26	14
12.81	13
20.21	12

=====

Record 5
For Pm4Tl5Pt2, DFT lattice parameters and positions (PBE) gives the calculated powder diffraction line list in this record (λ = 1.5418 Å (Cu Kα)).
Lines closer than 0.1° are merged.

Structure:
a b c (Å): 8.070 3.774 9.867
angles (deg): 90.00 93.83 90.00
Fractional positions:
Pm 0.190 0.000 0.347
Pm 0.215 0.000 0.929
Pm 0.785 0.000 0.071
Pm 0.810 0.000 0.653
Tl 0.154 0.500 0.637
Tl 0.458 0.500 0.167
Tl 0.500 0.500 0.500
Tl 0.542 0.500 0.833
Tl 0.846 0.500 0.363
Pt 0.078 0.500 0.134
Pt 0.922 0.500 0.866

Principal peaks in the range 2θ = 10–80°, by intensity:
2θ (°)	I/Imax
32.31	100
32.52	88
31.44	79
34.06	66
36.48	57
33.38	56
23.57	51
48.23	49
36.27	47
36.66	45

=====

Record 6
For PmUPt, DFT lattice parameters and positions (PBE) gives the calculated powder diffraction line list in this record (λ = 1.5418 Å (Cu Kα)).
Lines closer than 0.1° are merged.

Structure:
a b c (Å): 10.091 10.091 10.091
angles (deg): 157.84 157.84 31.54
Fractional positions:
Pm 0.101 0.101 0.000
Pm 0.899 0.899 0.000
U 0.275 0.275 0.000
U 0.725 0.725 0.000
Pt 0.431 0.431 0.000
Pt 0.569 0.569 0.000

Principal peaks in the range 2θ = 10–80°, by intensity:
2θ (°)	I/Imax
32.64	100
43.23	40
39.95	36
27.55	33
46.84	30
55.21	20
63.22	19
77.88	16
77.07	12
57.33	11

=====

Record 7
For PmPtW, DFT lattice parameters and positions (PBE) gives the calculated powder diffraction line list in this record (λ = 1.5418 Å (Cu Kα)).
Lines closer than 0.1° are merged.

Structure:
a b c (Å): 3.003 3.003 13.061
angles (deg): 90.00 90.00 90.18
Fractional positions:
Pm 0.000 0.000 0.173
Pm 0.000 0.000 0.827
Pt 0.000 0.000 0.500
Pt 0.500 0.500 0.000
W 0.500 0.500 0.358
W 0.500 0.500 0.642

Principal peaks in the range 2θ = 10–80°, by intensity:
2θ (°)	I/Imax
36.34	100
42.51	18
42.65	17
41.48	14
73.75	13
73.95	13
61.79	12
77.18	9
60.90	9
61.01	9

=====

Record 8
For PmYPt10, DFT lattice parameters and positions (PBE) gives the calculated powder diffraction line list in this record (λ = 1.5418 Å (Cu Kα)).
Lines closer than 0.1° are merged.

Structure:
a b c (Å): 4.454 5.396 9.295
angles (deg): 90.00 90.00 90.00
Fractional positions:
Pm 0.000 0.000 0.000
Y 0.000 0.500 0.500
Pt 0.000 0.000 0.335
Pt 0.000 0.000 0.665
Pt 0.000 0.500 0.169
Pt 0.000 0.500 0.831
Pt 0.500 0.000 0.500
Pt 0.500 0.250 0.251
Pt 0.500 0.250 0.749
Pt 0.500 0.500 0.000
Pt 0.500 0.750 0.251
Pt 0.500 0.750 0.749

Principal peaks in the range 2θ = 10–80°, by intensity:
2θ (°)	I/Imax
39.16	100
19.04	65
43.80	64
40.51	55
39.03	50
43.95	32
38.59	27
72.75	25
63.33	25
70.04	22

=====

Record 9
For PmY2Pt2, DFT lattice parameters and positions (PBE) gives the calculated powder diffraction line list in this record (λ = 1.5418 Å (Cu Kα)).
Lines closer than 0.1° are merged.

Structure:
a b c (Å): 14.066 14.066 4.691
angles (deg): 90.00 90.00 164.35
Fractional positions:
Pm 0.136 0.864 0.750
Pm 0.864 0.136 0.250
Y 0.231 0.769 0.250
Y 0.450 0.550 0.750
Y 0.550 0.450 0.250
Y 0.769 0.231 0.750
Pt 0.032 0.968 0.750
Pt 0.343 0.657 0.750
Pt 0.657 0.343 0.250
Pt 0.968 0.032 0.250

Principal peaks in the range 2θ = 10–80°, by intensity:
2θ (°)	I/Imax
31.66	100
37.82	63
42.18	54
38.38	51
30.30	46
32.12	37
47.48	28
22.85	27
62.63	24
19.11	24

=====

Record 10
For Pm7Zn2Pt2, DFT lattice parameters and positions (PBE) gives the calculated powder diffraction line list in this record (λ = 1.5418 Å (Cu Kα)).
Lines closer than 0.1° are merged.

Structure:
a b c (Å): 6.860 6.860 7.281
angles (deg): 90.00 90.00 108.40
Fractional positions:
Pm 0.000 0.000 0.000
Pm 0.000 0.500 0.265
Pm 0.000 0.500 0.735
Pm 0.500 0.000 0.265
Pm 0.500 0.000 0.735
Pm 0.500 0.500 0.260
Pm 0.500 0.500 0.740
Zn 0.163 0.163 0.500
Zn 0.837 0.837 0.500
Pt 0.291 0.709 0.000
Pt 0.709 0.291 0.000

Principal peaks in the range 2θ = 10–80°, by intensity:
2θ (°)	I/Imax
37.05	100
32.18	51
36.35	47
25.34	40
27.40	33
33.23	28
28.08	27
12.16	25
29.24	22
43.54	21

=====

Record 11
For Pm4ZnPt3, DFT lattice parameters and positions (PBE) gives the calculated powder diffraction line list in this record (λ = 1.5418 Å (Cu Kα)).
Lines closer than 0.1° are merged.

Structure:
a b c (Å): 3.908 4.543 10.949
angles (deg): 90.00 90.00 90.00
Fractional positions:
Pm 0.000 0.000 0.000
Pm 0.000 0.500 0.268
Pm 0.500 0.000 0.486
Pm 0.500 0.500 0.771
Zn 0.000 0.000 0.705
Pt 0.000 0.500 0.557
Pt 0.500 0.000 0.220
Pt 0.500 0.500 0.043

Principal peaks in the range 2θ = 10–80°, by intensity:
2θ (°)	I/Imax
31.27	100
39.16	80
39.68	33
32.72	27
38.39	27
46.47	21
33.60	19
62.71	17
78.11	15
52.34	15

=====

Record 12
For Pm2ZnPt3, DFT lattice parameters and positions (PBE) gives the calculated powder diffraction line list in this record (λ = 1.5418 Å (Cu Kα)).
Lines closer than 0.1° are merged.

Structure:
a b c (Å): 5.619 5.619 8.535
angles (deg): 90.00 90.00 120.00
Fractional positions:
Pm 0.333 0.667 0.060
Pm 0.333 0.667 0.440
Pm 0.667 0.333 0.560
Pm 0.667 0.333 0.940
Zn 0.000 0.000 0.000
Zn 0.000 0.000 0.500
Pt 0.167 0.335 0.750
Pt 0.167 0.833 0.750
Pt 0.335 0.167 0.250
Pt 0.665 0.833 0.750
Pt 0.833 0.167 0.250
Pt 0.833 0.665 0.250

Principal peaks in the range 2θ = 10–80°, by intensity:
2θ (°)	I/Imax
38.47	100
38.36	66
36.59	52
66.97	31
66.57	25
59.88	24
36.94	21
20.82	18
61.12	17
42.36	16

=====

Record 13
For Pm4ZnPt, DFT lattice parameters and positions (PBE) gives the calculated powder diffraction line list in this record (λ = 1.5418 Å (Cu Kα)).
Lines closer than 0.1° are merged.

Structure:
a b c (Å): 5.001 5.001 7.161
angles (deg): 90.05 90.05 90.00
Fractional positions:
Pm 0.000 0.499 0.244
Pm 0.000 0.501 0.756
Pm 0.499 0.000 0.244
Pm 0.501 0.000 0.756
Zn 0.000 0.000 0.500
Pt 0.500 0.500 0.000

Principal peaks in the range 2θ = 10–80°, by intensity:
2θ (°)	I/Imax
35.68	100
35.91	49
64.40	36
21.67	34
25.18	18
63.96	18
51.70	17
42.34	12
24.87	9
51.01	9